1.
This entry pairs a crystal structure of NaDy3Ti2Sb2O14 with its computed powder diffraction line list. Radiation: CuKα. Structure: a crystal structure in Alexandria, relaxed with PBE.
Neutral-atom scattering factors, no anomalous dispersion.

Main lines, by angle (10° ≤ 2θ ≤ 90°):
| 2θ (°) | d [Å] | I/Imax | h k l |
| --- | --- | --- | --- |
| 14.88 | 5.954 | 11 | 0 1 1 |
| 19.22 | 4.617 | 26 | 1 1 0 |
| 29.88 | 2.990 | 35 | 2 0 0 |
| 30.04 | 2.975 | 100 | 0 2 2 |
| 34.78 | 2.580 | 41 | 0 0 4 |
| 49.90 | 1.827 | 32 | 4 0 -4 |
| 50.10 | 1.821 | 31 | 2 2 -6 |
| 59.26 | 1.559 | 14 | 2 0 4 |
| 59.44 | 1.555 | 27 | 4 2 -6 |
| 59.53 | 1.553 | 14 | 2 0 -8 |
| 73.41 | 1.290 | 9 | 0 0 8 |
| 83.71 | 1.155 | 9 | 6 2 -6 |

Cell and atoms:
```
data_NaDy3Ti2Sb2O14
_space_group_name_H-M_alt 'P 1 2/c 1'
_space_group_IT_number 13
_cell_length_a 7.305
_cell_length_b 7.291
_cell_length_c 12.601
_cell_angle_alpha 90.00
_cell_angle_beta 125.06
_cell_angle_gamma 90.00
loop_
_space_group_symop_operation_xyz
'x,y,z'
'-x,-y,-z'
'-x,y,-z+1/2'
'x,-y,z+1/2'
loop_
_atom_site_label
_atom_site_fract_x
_atom_site_fract_y
_atom_site_fract_z
Na1 0.000 0.000 0.000
Dy1 0.000 0.247 0.250
Dy2 0.000 0.500 0.000
Dy3 0.500 0.225 0.250
Ti1 0.500 0.264 0.750
Ti2 0.500 0.500 0.000
Sb1 0.000 0.254 0.750
Sb2 0.500 0.000 0.000
O1 0.135 0.264 0.133
O2 0.169 0.042 0.870
O3 0.174 0.457 0.877
O4 0.176 0.270 0.676
O5 0.423 0.251 0.421
O6 0.424 0.446 0.621
O7 0.443 0.049 0.633
```

---

2.
This entry pairs a crystal structure of Na3Dy2TcO6 with its computed powder diffraction line list. Radiation: CuKα. Structure: a crystal structure in Alexandria, relaxed with PBE.
Neutral-atom scattering factors, no anomalous dispersion.

Main lines, by angle (10° ≤ 2θ ≤ 90°):
| 2θ (°) | d [Å] | I/Imax | h k l |
| --- | --- | --- | --- |
| 15.80 | 5.609 | 100 | 0 0 1 |
| 31.48 | 2.842 | 15 | 2 0 -1 |
| 31.91 | 2.805 | 21 | 0 0 2 |
| 32.04 | 2.794 | 31 | 1 3 0 |
| 32.64 | 2.744 | 19 | 2 0 0 |
| 33.47 | 2.677 | 36 | 1 3 -1 |
| 38.00 | 2.368 | 28 | 2 0 -2 |
| 38.22 | 2.355 | 56 | 1 3 1 |
| 41.83 | 2.159 | 12 | 1 3 -2 |
| 49.62 | 1.837 | 19 | 2 0 -3 |
| 54.52 | 1.683 | 18 | 1 3 -3 |
| 55.47 | 1.657 | 18 | 3 3 -1 |

Cell and atoms:
```
data_Na3Dy2TcO6
_space_group_name_H-M_alt 'C 1 2/m 1'
_space_group_IT_number 12
_cell_length_a 5.779
_cell_length_b 9.738
_cell_length_c 5.908
_cell_angle_alpha 90.00
_cell_angle_beta 108.30
_cell_angle_gamma 90.00
loop_
_space_group_symop_operation_xyz
'x,y,z'
'-x,-y,-z'
'-x,y,-z'
'x,-y,z'
'x+1/2,y+1/2,z'
'-x+1/2,-y+1/2,-z'
'-x+1/2,y+1/2,-z'
'x+1/2,-y+1/2,z'
loop_
_atom_site_label
_atom_site_fract_x
_atom_site_fract_y
_atom_site_fract_z
Na1 0.000 0.000 0.000
Na2 0.000 0.340 0.000
Dy1 0.000 0.173 0.500
Tc1 0.000 0.500 0.500
O1 0.240 0.340 0.721
O2 0.240 0.500 0.298
```

---

3.
This entry pairs a crystal structure of NaDyTi2O6 with its computed powder diffraction line list. Radiation: CuKα. Structure: a crystal structure in Alexandria, relaxed with PBE.
Neutral-atom scattering factors, no anomalous dispersion.

Main lines, by angle (10° ≤ 2θ ≤ 90°):
| 2θ (°) | d [Å] | I/Imax | h k l |
| --- | --- | --- | --- |
| 19.80 | 4.485 | 48 | 1 1 0 |
| 20.30 | 4.375 | 64 | 1 0 1 |
| 25.94 | 3.435 | 19 | 1 1 1 |
| 32.28 | 2.773 | 19 | 0 2 0 |
| 33.08 | 2.708 | 100 | 2 1 1 |
| 33.55 | 2.671 | 27 | 0 0 2 |
| 36.50 | 2.462 | 13 | 0 2 1 |
| 39.26 | 2.295 | 30 | 3 0 1 |
| 47.24 | 1.924 | 24 | 0 2 2 |
| 47.73 | 1.905 | 18 | 4 0 0 |
| 53.83 | 1.703 | 16 | 1 3 1 |
| 59.66 | 1.550 | 37 | 4 0 2 |

Cell and atoms:
```
data_NaDyTi2O6
_space_group_name_H-M_alt 'P m n 21'
_space_group_IT_number 31
_cell_length_a 7.621
_cell_length_b 5.547
_cell_length_c 5.343
_cell_angle_alpha 90.00
_cell_angle_beta 90.00
_cell_angle_gamma 90.00
loop_
_space_group_symop_operation_xyz
'x,y,z'
'-x+1/2,-y,z+1/2'
'-x,y,z'
'x+1/2,-y,z+1/2'
loop_
_atom_site_label
_atom_site_fract_x
_atom_site_fract_y
_atom_site_fract_z
Na1 0.000 0.219 0.000
Dy1 0.000 0.678 0.518
Ti1 0.247 0.233 0.518
O1 0.000 0.274 0.424
O2 0.000 0.775 0.102
O3 0.198 0.944 0.691
O4 0.210 0.461 0.780
```

---

4.
This entry pairs a crystal structure of Na3Dy3PaTe8 with its computed powder diffraction line list. Radiation: CuKα. Structure: a crystal structure in Alexandria, relaxed with PBE.
Neutral-atom scattering factors, no anomalous dispersion.

Main lines, by angle (10° ≤ 2θ ≤ 90°):
| 2θ (°) | d [Å] | I/Imax | h k l |
| --- | --- | --- | --- |
| 11.64 | 7.601 | 45 | 0 0 3 |
| 23.58 | 3.773 | 17 | 0 2 1 |
| 28.09 | 3.177 | 100 | 0 2 4 |
| 36.22 | 2.480 | 13 | 0 2 7 |
| 39.42 | 2.286 | 39 | 2 0 8 |
| 40.86 | 2.209 | 37 | 2 2 0 |
| 42.63 | 2.121 | 12 | 2 2 3 |
| 50.32 | 1.813 | 20 | 4 0 4 |
| 58.07 | 1.588 | 12 | 0 4 8 |
| 64.71 | 1.440 | 17 | 2 2 12 |
| 66.74 | 1.402 | 17 | 2 4 4 |
| 73.43 | 1.289 | 12 | 4 2 8 |

Cell and atoms:
```
data_Na3Dy3PaTe8
_space_group_name_H-M_alt 'R -3 m'
_space_group_IT_number 166
_space_group_name_Hall '-R 3 2"'
_cell_length_a 8.8345
_cell_length_b 8.8345
_cell_length_c 22.8037
_cell_angle_alpha 90.00
_cell_angle_beta 90.00
_cell_angle_gamma 120.00
loop_
_atom_site_label
_atom_site_fract_x
_atom_site_fract_y
_atom_site_fract_z
Na1 0.0000 0.5000 0.0000
Dy1 0.0000 0.5000 0.5000
Pa1 0.0000 0.0000 0.5000
Te1 0.0000 0.0000 0.2441
Te2 0.0019 0.5010 0.7563
```

---

5.
This entry pairs a crystal structure of Na4PmDy3S8 with its computed powder diffraction line list. Radiation: CuKα. Structure: a crystal structure in Alexandria, relaxed with PBE.
Neutral-atom scattering factors, no anomalous dispersion.

Main lines, by angle (10° ≤ 2θ ≤ 90°):
| 2θ (°) | d [Å] | I/Imax | h k l |
| --- | --- | --- | --- |
| 13.25 | 6.684 | 84 | 0 0 3 |
| 26.01 | 3.426 | 43 | 0 2 1 |
| 27.15 | 3.285 | 30 | 2 0 2 |
| 31.31 | 2.857 | 100 | 0 2 4 |
| 34.13 | 2.627 | 18 | 2 0 5 |
| 40.81 | 2.211 | 19 | 0 2 7 |
| 44.56 | 2.033 | 35 | 2 0 8 |
| 45.17 | 2.007 | 35 | 2 2 0 |
| 47.28 | 1.922 | 21 | 2 2 3 |
| 55.99 | 1.642 | 18 | 4 0 4 |
| 73.78 | 1.284 | 15 | 2 2 12 |
| 74.67 | 1.271 | 15 | 2 4 4 |

Cell and atoms:
```
data_Na4PmDy3S8
_space_group_name_H-M_alt 'R -3 m'
_space_group_IT_number 166
_space_group_name_Hall '-R 3 2"'
_cell_length_a 8.0289
_cell_length_b 8.0289
_cell_length_c 20.0533
_cell_angle_alpha 90.00
_cell_angle_beta 90.00
_cell_angle_gamma 120.00
loop_
_atom_site_label
_atom_site_fract_x
_atom_site_fract_y
_atom_site_fract_z
Na1 0.0000 0.0000 0.0000
Na2 0.0000 0.5000 0.0000
Pm1 0.0000 0.0000 0.5000
Dy1 0.0000 0.5000 0.5000
S1 0.0000 0.0000 0.2419
S2 0.0059 0.5029 0.7572
```

---

6.
This entry pairs a crystal structure of NaDyPu2Se4 with its computed powder diffraction line list. Radiation: CuKα. Structure: a crystal structure in Alexandria, relaxed with PBE.
Neutral-atom scattering factors, no anomalous dispersion.

Main lines, by angle (10° ≤ 2θ ≤ 90°):
| 2θ (°) | d [Å] | I/Imax | h k l |
| --- | --- | --- | --- |
| 13.07 | 6.773 | 24 | 1 0 0 |
| 25.12 | 3.545 | 15 | 1 0 -2 |
| 26.32 | 3.386 | 16 | 2 0 0 |
| 30.44 | 2.936 | 100 | 1 1 1 |
| 43.49 | 2.081 | 38 | 2 0 2 |
| 43.61 | 2.075 | 13 | 0 2 0 |
| 43.73 | 2.070 | 25 | 3 1 -1 |
| 54.14 | 1.694 | 13 | 2 2 -2 |
| 63.31 | 1.469 | 8 | 2 2 2 |
| 71.75 | 1.315 | 17 | 3 1 3 |
| 72.10 | 1.310 | 11 | 4 2 0 |
| 80.17 | 1.197 | 13 | 3 3 -1 |

Cell and atoms:
```
data_NaDyPu2Se4
_space_group_name_H-M_alt 'P 1 2/m 1'
_space_group_IT_number 10
_cell_length_a 7.166
_cell_length_b 4.151
_cell_length_c 7.217
_cell_angle_alpha 90.00
_cell_angle_beta 109.33
_cell_angle_gamma 90.00
loop_
_space_group_symop_operation_xyz
'x,y,z'
'-x,-y,-z'
'-x,y,-z'
'x,-y,z'
loop_
_atom_site_label
_atom_site_fract_x
_atom_site_fract_y
_atom_site_fract_z
Na1 0.000 0.000 0.000
Dy1 0.000 0.500 0.500
Pu1 0.500 0.000 0.500
Pu2 0.500 0.500 0.000
Se1 0.246 0.000 0.745
Se2 0.250 0.500 0.256
```

---

7.
This entry pairs a crystal structure of NaDyPu2Te4 with its computed powder diffraction line list. Radiation: CuKα. Structure: a crystal structure in Alexandria, relaxed with PBE.
Neutral-atom scattering factors, no anomalous dispersion.

Main lines, by angle (10° ≤ 2θ ≤ 90°):
| 2θ (°) | d [Å] | I/Imax | h k l |
| --- | --- | --- | --- |
| 12.23 | 7.239 | 12 | 1 0 0 |
| 23.44 | 3.795 | 10 | 1 0 -2 |
| 28.40 | 3.143 | 100 | 1 1 1 |
| 40.45 | 2.230 | 39 | 2 0 2 |
| 40.74 | 2.215 | 38 | 0 2 0 |
| 49.92 | 1.827 | 7 | 0 0 4 |
| 50.41 | 1.810 | 21 | 4 0 0 |
| 58.73 | 1.572 | 9 | 2 2 2 |
| 66.33 | 1.409 | 18 | 3 1 3 |
| 66.71 | 1.402 | 12 | 1 3 1 |
| 73.38 | 1.290 | 7 | 1 1 5 |
| 73.96 | 1.282 | 13 | 1 3 -3 |

Cell and atoms:
```
data_NaDyPu2Te4
_space_group_name_H-M_alt 'P 1 2/m 1'
_space_group_IT_number 10
_cell_length_a 7.666
_cell_length_b 4.432
_cell_length_c 7.738
_cell_angle_alpha 90.00
_cell_angle_beta 109.21
_cell_angle_gamma 90.00
loop_
_space_group_symop_operation_xyz
'x,y,z'
'-x,-y,-z'
'-x,y,-z'
'x,-y,z'
loop_
_atom_site_label
_atom_site_fract_x
_atom_site_fract_y
_atom_site_fract_z
Na1 0.000 0.000 0.000
Dy1 0.000 0.500 0.500
Pu1 0.500 0.000 0.500
Pu2 0.500 0.500 0.000
Te1 0.245 0.000 0.746
Te2 0.249 0.500 0.255
```

---

- Number 2 is which compound?
  Na3Dy2TcO6

---

What did the fourth record say?
This entry pairs a crystal structure of Na3Dy3PaTe8 with its computed powder diffraction line list. Radiation: CuKα. Structure: a crystal structure in Alexandria, relaxed with PBE.
Neutral-atom scattering factors, no anomalous dispersion.

Main lines, by angle (10° ≤ 2θ ≤ 90°):
| 2θ (°) | d [Å] | I/Imax | h k l |
| --- | --- | --- | --- |
| 11.64 | 7.601 | 45 | 0 0 3 |
| 23.58 | 3.773 | 17 | 0 2 1 |
| 28.09 | 3.177 | 100 | 0 2 4 |
| 36.22 | 2.480 | 13 | 0 2 7 |
| 39.42 | 2.286 | 39 | 2 0 8 |
| 40.86 | 2.209 | 37 | 2 2 0 |
| 42.63 | 2.121 | 12 | 2 2 3 |
| 50.32 | 1.813 | 20 | 4 0 4 |
| 58.07 | 1.588 | 12 | 0 4 8 |
| 64.71 | 1.440 | 17 | 2 2 12 |
| 66.74 | 1.402 | 17 | 2 4 4 |
| 73.43 | 1.289 | 12 | 4 2 8 |

Cell and atoms:
```
data_Na3Dy3PaTe8
_space_group_name_H-M_alt 'R -3 m'
_space_group_IT_number 166
_space_group_name_Hall '-R 3 2"'
_cell_length_a 8.8345
_cell_length_b 8.8345
_cell_length_c 22.8037
_cell_angle_alpha 90.00
_cell_angle_beta 90.00
_cell_angle_gamma 120.00
loop_
_atom_site_label
_atom_site_fract_x
_atom_site_fract_y
_atom_site_fract_z
Na1 0.0000 0.5000 0.0000
Dy1 0.0000 0.5000 0.5000
Pa1 0.0000 0.0000 0.5000
Te1 0.0000 0.0000 0.2441
Te2 0.0019 0.5010 0.7563
```

---

- Number 5 is which compound?
  Na4PmDy3S8